Diffraction record for Rb3Cu2Br9. The PXRD pattern is simulated, not measured: it uses DFT lattice parameters and positions (GGA-PBE) and Cu Kα X-rays.
Intensities are scaled so that the largest is 100.

Main lines, low angle first (10 to 90 degrees two-theta):
2θ/deg  I/Imax
29.02  29
29.77  85
34.29  100
48.79  35
49.76  34
58.64  23
61.82  17
83.21  15

Cell and atoms:
Cell lengths 7.330, 7.330, 9.230 Å; angles 90.00, 90.00, 120.00 degrees
Atoms (fractional coordinates):
Rb: 0.000 0.000 0.000
Rb: 0.333 0.667 0.343
Rb: 0.667 0.333 0.657
Cu: 0.333 0.667 0.831
Cu: 0.667 0.333 0.169
Br: 0.000 0.500 0.000
Br: 0.170 0.341 0.683
Br: 0.170 0.830 0.683
Br: 0.341 0.170 0.317
Br: 0.500 0.000 0.000
Br: 0.500 0.500 0.000
Br: 0.659 0.830 0.683
Br: 0.830 0.170 0.317
Br: 0.830 0.659 0.317